Record 1
Computed powder diffractogram of NaUCu2Br8 for Cu Kα (weighted mean of Kα1 and Kα2), from the GGA-PBE geometry in Alexandria.

Principal peaks in the range 10° ≤ 2θ ≤ 90°, low angle first:
hkl 0 1 1, 13.67°, intensity 100; hkl 1 0 -1, 16.69°, intensity 40; hkl 1 1 0, 16.95°, intensity 52; hkl 1 0 1, 17.53°, intensity 53; hkl 1 -1 0, 20.23°, intensity 49; hkl 2 1 0, 27.52°, intensity 41; hkl 1 2 2, 29.04°, intensity 56; hkl 1 1 -2, 31.05°, intensity 55; hkl 2 -1 0, 31.74°, intensity 59; hkl -1 3 2, 42.46°, intensity 40

Structural model:
```
data_NaUCu2Br8
_chemical_formula_sum 'Na1 U1 Cu2 Br8'
_space_group_name_H-M_alt 'P -1'
_space_group_IT_number 2
_cell_length_a 6.8350
_cell_length_b 7.3287
_cell_length_c 8.7290
_cell_angle_alpha 68.60
_cell_angle_beta 89.11
_cell_angle_gamma 80.37
loop_
_space_group_symop_operation_xyz
'x,y,z'
'-x,-y,-z'
loop_
_atom_site_label
_atom_site_fract_x
_atom_site_fract_y
_atom_site_fract_z
_atom_site_occupancy
Na1 0.0000 0.0000 0.0000 1
U1 0.0000 0.0000 0.5000 1
Cu1 0.4682 0.3752 0.1482 1
Br1 0.1212 0.2194 0.6585 1
Br2 0.1453 0.2334 0.2104 1
Br3 0.3570 0.7480 0.5792 1
Br4 0.3919 0.7362 0.0660 1
```


Record 2
Computed powder diffractogram of NbCuBr6 for Cu Kα (weighted mean of Kα1 and Kα2), from the GGA-PBE geometry in Alexandria.

Principal peaks in the range 10° ≤ 2θ ≤ 90°, low angle first:
hkl 0 2 0, 14.35°, intensity 55; hkl 1 1 -1, 16.22°, intensity 73; hkl 1 3 -1, 26.12°, intensity 40; hkl 0 0 2, 28.52°, intensity 17; hkl 2 0 0, 28.68°, intensity 16; hkl 2 0 -2, 29.31°, intensity 54; hkl 1 3 1, 32.88°, intensity 100; hkl 0 6 0, 44.02°, intensity 18; hkl 1 3 -3, 44.51°, intensity 31; hkl 3 3 -1, 44.73°, intensity 31

Structural model:
```
data_NbCuBr6
_chemical_formula_sum 'Nb2 Cu2 Br12'
_space_group_name_H-M_alt 'C 1 2/m 1'
_space_group_IT_number 12
_cell_length_a 7.0770
_cell_length_b 12.3434
_cell_length_c 7.1155
_cell_angle_alpha 90.00
_cell_angle_beta 118.40
_cell_angle_gamma 90.00
loop_
_space_group_symop_operation_xyz
'x,y,z'
'-x,-y,-z'
'-x,y,-z'
'x,-y,z'
'x+1/2,y+1/2,z'
'-x+1/2,-y+1/2,-z'
'-x+1/2,y+1/2,-z'
'x+1/2,-y+1/2,z'
loop_
_atom_site_label
_atom_site_fract_x
_atom_site_fract_y
_atom_site_fract_z
_atom_site_occupancy
Nb1 0.0000 0.0000 0.0000 1
Cu1 0.0000 0.5000 0.5000 1
Br1 0.2051 0.0000 0.7945 1
Br2 0.2423 0.3534 0.7445 1
```


Record 3
Computed powder diffractogram of Cu3NiBr8 for Cu Kα (weighted mean of Kα1 and Kα2), from the GGA-PBE geometry in Alexandria.

Principal peaks in the range 10° ≤ 2θ ≤ 90°, low angle first:
hkl 0 0 1, 13.42°, intensity 100; hkl 4 0 0, 28.43°, intensity 91; hkl 2 2 0, 28.94°, intensity 36; hkl 2 2 -2, 34.88°, intensity 98; hkl 2 2 2, 44.66°, intensity 59; hkl 6 2 -2, 46.51°, intensity 47; hkl 4 0 -4, 48.68°, intensity 16; hkl 0 4 0, 51.59°, intensity 16; hkl 8 0 -4, 58.86°, intensity 15; hkl 4 4 0, 59.96°, intensity 21

Structural model:
```
data_Cu3NiBr8
_chemical_formula_sum 'Cu6 Ni2 Br16'
_space_group_name_H-M_alt 'C 1 2/m 1'
_space_group_IT_number 12
_cell_length_a 14.2702
_cell_length_b 7.0862
_cell_length_c 7.4940
_cell_angle_alpha 90.00
_cell_angle_beta 118.33
_cell_angle_gamma 90.00
loop_
_space_group_symop_operation_xyz
'x,y,z'
'-x,-y,-z'
'-x,y,-z'
'x,-y,z'
'x+1/2,y+1/2,z'
'-x+1/2,-y+1/2,-z'
'-x+1/2,y+1/2,-z'
'x+1/2,-y+1/2,z'
loop_
_atom_site_label
_atom_site_fract_x
_atom_site_fract_y
_atom_site_fract_z
_atom_site_occupancy
Cu1 0.0000 0.0000 0.0000 1
Cu2 0.2500 0.2500 0.0000 1
Ni1 0.0000 0.5000 0.0000 1
Br1 0.0003 0.2461 0.2275 1
Br2 0.2140 0.5000 0.1961 1
Br3 0.2491 0.5000 0.7779 1
```


Record 4
Computed powder diffractogram of Tl3Cu2NiBr8 for Cu Kα (weighted mean of Kα1 and Kα2), from the GGA-PBE geometry in Alexandria.

Principal peaks in the range 10° ≤ 2θ ≤ 90°, low angle first:
hkl 0 1 2, 23.81°, intensity 29; hkl 1 1 0, 24.20°, intensity 100; hkl 0 0 3, 29.02°, intensity 33; hkl 0 2 1, 29.68°, intensity 67; hkl 1 0 3, 32.32°, intensity 25; hkl 2 0 2, 34.21°, intensity 81; hkl 3 0 0, 42.59°, intensity 22; hkl 0 2 4, 48.74°, intensity 25; hkl 2 2 0, 49.58°, intensity 46; hkl 2 2 3, 58.48°, intensity 26

Structural model:
```
data_Tl3Cu2NiBr8
_chemical_formula_sum 'Tl3 Cu2 Ni1 Br8'
_space_group_name_H-M_alt 'P -3 m 1'
_space_group_IT_number 164
_space_group_name_Hall '-P 3 2"'
_cell_length_a 7.3540
_cell_length_b 7.3540
_cell_length_c 9.2297
_cell_angle_alpha 90.00
_cell_angle_beta 90.00
_cell_angle_gamma 120.00
loop_
_atom_site_label
_atom_site_fract_x
_atom_site_fract_y
_atom_site_fract_z
_atom_site_occupancy
Tl1 0.0000 0.0000 0.0000 1
Tl2 0.3333 0.6667 0.6292 1
Cu1 0.3333 0.6667 0.2220 1
Ni1 0.0000 0.0000 0.5000 1
Br1 0.1577 0.3153 0.3324 1
Br2 0.3333 0.6667 0.9712 1
```